For Li5Mn5V2O12, DFT lattice parameters and positions (GGA+U) gives the theoretical powder diffraction line list in this record (copper Kα).
No peak broadening, texture or thermal motion is included.

Unit cell a=5.259 b=9.125 c=9.981 alpha=90.00 beta=99.21 gamma=90.00
Space group C2 (No. 5)
Unique sites:
Li  0.000  0.000  0.000 (multiplicity 2)
Li  0.237  0.827  0.246 (multiplicity 4)
Li  0.248  0.499  0.246 (multiplicity 4)
Mn  0.000  0.339  0.000 (multiplicity 2)
Mn  0.000  0.489  0.500 (multiplicity 2)
Mn  0.000  0.831  0.500 (multiplicity 2)
Mn  0.245  0.160  0.246 (multiplicity 4)
V  0.000  0.160  0.500 (multiplicity 2)
V  0.000  0.665  0.000 (multiplicity 2)
O  0.124  0.005  0.371 (multiplicity 4)
O  0.125  0.315  0.373 (multiplicity 4)
O  0.126  0.511  0.879 (multiplicity 4)
O  0.132  0.814  0.875 (multiplicity 4)
O  0.146  0.660  0.384 (multiplicity 4)
O  0.167  0.168  0.889 (multiplicity 4)

The 12 most intense peaks (10° ≤ 2θ ≤ 90°), low angle first:
2theta, d [Å], I/Imax, index
18.01, 4.926, 32, 0 0 2
19.46, 4.562, 21, 0 2 0
20.48, 4.337, 15, 1 1 -1
22.79, 3.902, 32, 1 1 1
34.63, 2.590, 15, 1 3 -1
36.12, 2.486, 21, 1 3 1
36.46, 2.464, 20, 0 0 4
41.85, 2.158, 51, 2 0 2
42.31, 2.136, 100, 1 3 -3
60.98, 1.519, 41, 3 3 -1
61.05, 1.518, 27, 1 3 5
61.83, 1.500, 14, 2 0 -6